Starting from a crystal structure in the Materials Project, relaxed with GGA-PBE, the XRD peak list of Li6Ti2S6O was computed for Cu Kα (λ = 1.5418 Å).

```
Li6Ti2S6O
1.0
11.540 0.000 0.000
0.000 9.036 0.000
-4.294 0.000 10.973
Li Ti S O
24 8 24 4
Direct
0.001 0.139 0.396 Li
0.001 0.361 0.896 Li
0.089 0.021 0.146 Li
0.089 0.479 0.646 Li
0.196 0.736 0.436 Li
0.196 0.764 0.936 Li
0.276 0.201 0.576 Li
0.276 0.299 0.076 Li
0.397 0.559 0.857 Li
0.397 0.941 0.357 Li
0.454 0.172 0.897 Li
0.454 0.328 0.397 Li
0.546 0.672 0.603 Li
0.546 0.828 0.103 Li
0.603 0.059 0.643 Li
0.603 0.441 0.143 Li
0.724 0.701 0.924 Li
0.724 0.799 0.424 Li
0.804 0.236 0.064 Li
0.804 0.264 0.564 Li
0.911 0.521 0.354 Li
0.911 0.979 0.854 Li
0.999 0.639 0.104 Li
0.999 0.861 0.604 Li
0.172 0.139 0.790 Ti
0.172 0.361 0.290 Ti
0.359 0.609 0.233 Ti
0.359 0.891 0.733 Ti
0.641 0.109 0.267 Ti
0.641 0.391 0.767 Ti
0.828 0.639 0.710 Ti
0.828 0.861 0.210 Ti
0.013 0.142 0.609 S
0.013 0.358 0.109 S
0.136 0.031 0.949 S
0.136 0.469 0.449 S
0.205 0.731 0.722 S
0.205 0.769 0.222 S
0.212 0.125 0.352 S
0.212 0.375 0.852 S
0.403 0.620 0.062 S
0.403 0.880 0.562 S
0.467 0.159 0.111 S
0.467 0.341 0.611 S
0.533 0.659 0.389 S
0.533 0.841 0.889 S
0.597 0.120 0.438 S
0.597 0.380 0.938 S
0.788 0.625 0.148 S
0.788 0.875 0.648 S
0.795 0.231 0.778 S
0.795 0.269 0.278 S
0.864 0.531 0.551 S
0.864 0.969 0.051 S
0.987 0.642 0.891 S
0.987 0.858 0.391 S
0.314 0.086 0.755 O
0.314 0.414 0.255 O
0.686 0.586 0.745 O
0.686 0.914 0.245 O
```

Principal peaks in the range 2θ from 10° to 90°, low angle first:
2θ (°)  d (Å)  I_rel
13.44  6.589  44
16.15  5.487  50
16.68  5.315  74
19.22  4.618  45
20.91  4.249  84
21.73  4.090  100
25.17  3.539  72
27.13  3.287  76
34.13  2.627  55
46.23  1.964  40

=====

Starting from a crystal structure in the Materials Project, relaxed with GGA-PBE, the XRD peak list of LiY2Ti2S2O5 was computed for Cu Kα (λ = 1.5418 Å).

```
LiY2Ti2S2O5
1.0
-1.930 1.981 11.166
1.930 -1.981 11.166
1.930 1.981 -11.166
Li Y Ti S O
1 2 2 2 5
Direct
0.000 0.000 0.000 Li
0.165 0.665 0.500 Y
0.835 0.335 0.500 Y
0.415 0.915 0.500 Ti
0.585 0.085 0.500 Ti
0.295 0.795 0.500 S
0.705 0.205 0.500 S
0.093 0.093 0.000 O
0.397 0.397 0.000 O
0.500 0.000 0.500 O
0.603 0.603 0.000 O
0.907 0.907 0.000 O
```

Principal peaks in the range 2θ from 10° to 90°, low angle first:
2θ (°)  d (Å)  I_rel
15.87  5.583  83
25.47  3.497  40
26.01  3.426  52
32.39  2.764  100
36.15  2.485  41
36.54  2.459  46
40.66  2.219  33
45.81  1.981  39
47.10  1.930  36
59.95  1.543  34

=====

Starting from a crystal structure in the Materials Project, relaxed with GGA-PBE, the XRD peak list of Li3Y4Ti4S4O10 was computed for Cu Kα (λ = 1.5418 Å).

```
Li3Y4Ti4S4O10
1.0
2.812 -10.958 0.000
2.812 10.958 0.000
-0.012 0.000 5.623
Li Y Ti S O
3 4 4 4 10
Direct
0.000 0.000 0.000 Li
0.000 0.000 0.500 Li
0.500 0.500 0.000 Li
0.086 0.412 0.751 Y
0.412 0.086 0.751 Y
0.588 0.914 0.249 Y
0.914 0.588 0.249 Y
0.165 0.343 0.254 Ti
0.343 0.165 0.254 Ti
0.657 0.835 0.746 Ti
0.835 0.657 0.746 Ti
0.043 0.453 0.249 S
0.453 0.043 0.249 S
0.547 0.957 0.751 S
0.957 0.547 0.751 S
0.095 0.905 0.500 O
0.096 0.904 0.000 O
0.241 0.241 0.241 O
0.400 0.600 0.500 O
0.405 0.595 0.000 O
0.595 0.405 0.000 O
0.600 0.400 0.500 O
0.759 0.759 0.759 O
0.904 0.096 0.000 O
0.905 0.095 0.500 O
```

Principal peaks in the range 2θ from 10° to 90°, low angle first:
2θ (°)  d (Å)  I_rel
16.18  5.479  88
25.51  3.492  83
31.83  2.812  100
32.89  2.723  29
36.53  2.460  85
40.49  2.228  32
43.58  2.077  68
45.63  1.988  79
59.81  1.546  38
64.94  1.436  39

=====

Starting from a crystal structure in the Materials Project, relaxed with GGA-PBE, the XRD peak list of LiTmU2S3O2 was computed for Cu Kα (λ = 1.5418 Å).

```
LiTmU2S3O2
1.0
11.339 -1.908 0.000
11.339 1.908 0.000
-0.019 0.000 3.856
Li Tm U S O
1 1 2 3 2
Direct
0.000 0.000 0.000 Li
0.399 0.399 0.499 Tm
0.118 0.118 0.498 U
0.733 0.733 0.001 U
0.282 0.282 0.503 S
0.520 0.520 0.500 S
0.894 0.894 0.999 S
0.168 0.168 0.999 O
0.670 0.670 0.499 O
```

Principal peaks in the range 2θ from 10° to 90°, low angle first:
2θ (°)  d (Å)  I_rel
23.54  3.780  26
24.39  3.650  33
26.16  3.406  80
27.92  3.195  35
28.05  3.181  36
30.62  2.920  35
33.27  2.693  100
43.44  2.083  34
43.59  2.076  34
56.17  1.638  33

=====

Starting from a crystal structure in the Materials Project, relaxed with GGA-PBE, the XRD peak list of LiTmU2S3O2 was computed for Cu Kα (λ = 1.5418 Å).

```
LiTmU2S3O2
1.0
-1.855 1.871 12.097
1.855 -1.871 12.097
1.855 1.871 -12.097
Li Tm U S O
1 1 2 3 2
Direct
0.000 0.000 0.000 Li
0.609 0.109 0.500 Tm
0.268 0.768 0.500 U
0.880 0.380 0.500 U
0.076 0.576 0.500 S
0.440 0.940 0.500 S
0.713 0.213 0.500 S
0.325 0.325 0.000 O
0.825 0.825 0.000 O
```

Principal peaks in the range 2θ from 10° to 90°, low angle first:
2θ (°)  d (Å)  I_rel
14.65  6.048  40
22.04  4.032  37
26.26  3.394  82
26.45  3.370  80
30.19  2.960  59
30.36  2.944  60
34.03  2.634  100
35.35  2.539  27
40.92  2.205  43
45.67  1.986  36